Entry 1:
Starting from a DFT-relaxed cell (GGA-PBE, the Materials Project), the powder X-ray diffraction pattern of VCo was computed for λ = 1.5418 Å (Cu Kα).

Largest 5 diffraction maxima, by angle, 2θ = 10–90°:
two_theta	d_spacing	I_rel
30.88	2.895	2
44.24	2.047	100
64.35	1.448	15
73.08	1.295	1
81.41	1.182	28

Structural model:
```
VCo
1.0
2.895 0.000 0.000
0.000 2.895 0.000
0.000 0.000 2.895
V Co
1 1
direct
0.000 0.000 0.000
0.500 0.500 0.500
```

Entry 2:
Starting from a DFT-relaxed cell (GGA-PBE, the Materials Project), the powder X-ray diffraction pattern of V3Co was computed for λ = 1.5418 Å (Cu Kα).

Largest 8 diffraction maxima, by angle, 2θ = 10–90°:
two_theta	d_spacing	I_rel
27.11	3.290	3
38.71	2.326	45
43.50	2.080	100
47.90	1.899	94
70.07	1.343	5
73.38	1.290	18
76.64	1.243	41
83.04	1.163	14

Structural model:
```
V3Co
1.0
4.652 0.000 0.000
0.000 4.652 0.000
0.000 0.000 4.652
V Co
6 2
direct
0.000 0.250 0.500
0.000 0.750 0.500
0.250 0.500 0.000
0.500 0.000 0.250
0.500 0.000 0.750
0.750 0.500 0.000
0.000 0.000 0.000
0.500 0.500 0.500
```

Entry 3:
Starting from a DFT-relaxed cell (GGA-PBE, the Materials Project), the powder X-ray diffraction pattern of V2Co9W was computed for λ = 1.5418 Å (Cu Kα).

Largest 8 diffraction maxima, by angle, 2θ = 10–90°:
two_theta	d_spacing	I_rel
14.56	6.084	20
21.03	4.225	25
41.90	2.156	38
42.81	2.112	29
44.69	2.028	54
46.31	1.961	100
48.80	1.866	88
75.90	1.254	30

Structural model:
```
V2Co9W
1.0
2.507 1.448 6.084
-2.507 1.448 6.084
0.000 -2.895 6.084
V Co W
2 9 1
direct
0.000 0.000 0.000
0.218 0.218 0.218
0.002 0.497 0.497
0.234 0.718 0.718
0.281 0.281 0.769
0.281 0.769 0.281
0.497 0.002 0.497
0.497 0.497 0.002
0.718 0.234 0.718
0.718 0.718 0.234
0.769 0.281 0.281
0.780 0.780 0.780
```

Entry 4:
Starting from a DFT-relaxed cell (GGA-PBE, the Materials Project), the powder X-ray diffraction pattern of Y3VCo8 was computed for λ = 1.5418 Å (Cu Kα).

Largest 8 diffraction maxima, by angle, 2θ = 10–90°:
two_theta	d_spacing	I_rel
33.54	2.672	31
35.56	2.525	37
36.72	2.448	28
41.48	2.177	39
42.53	2.125	100
45.72	1.984	26
68.66	1.367	22
75.28	1.262	23

Structural model:
```
Y3VCo8
1.0
2.525 1.458 7.876
-2.525 1.458 7.876
0.000 -2.915 7.876
Y V Co
3 1 8
direct
0.000 0.000 0.000
0.140 0.140 0.140
0.280 0.280 0.280
0.808 0.808 0.808
0.059 0.559 0.559
0.226 0.718 0.718
0.473 0.473 0.473
0.559 0.059 0.559
0.559 0.559 0.059
0.641 0.641 0.641
0.718 0.226 0.718
0.718 0.718 0.226
```

Entry 5:
Starting from a DFT-relaxed cell (GGA-PBE, the Materials Project), the powder X-ray diffraction pattern of CoW was computed for λ = 1.5418 Å (Cu Kα).

Largest 6 diffraction maxima, by angle, 2θ = 10–90°:
two_theta	d_spacing	I_rel
29.73	3.005	31
42.54	2.125	100
52.76	1.735	9
61.73	1.503	16
70.00	1.344	12
77.86	1.227	33

Structural model:
```
CoW
1.0
3.005 0.000 0.000
0.000 3.005 0.000
0.000 0.000 3.005
Co W
1 1
direct
0.000 0.000 0.000
0.500 0.500 0.500
```

Entry 6:
Starting from a DFT-relaxed cell (GGA-PBE, the Materials Project), the powder X-ray diffraction pattern of CoW3 was computed for λ = 1.5418 Å (Cu Kα).

Largest 8 diffraction maxima, by angle, 2θ = 10–90°:
two_theta	d_spacing	I_rel
22.76	3.907	12
32.40	2.763	10
39.97	2.256	100
46.48	1.954	49
52.36	1.747	6
67.84	1.381	32
81.74	1.178	38
86.23	1.128	11

Structural model:
```
CoW3
1.0
3.907 0.000 0.000
0.000 3.907 0.000
0.000 0.000 3.907
Co W
1 3
direct
0.000 0.000 0.000
0.000 0.500 0.500
0.500 0.000 0.500
0.500 0.500 0.000
```

Entry 7:
Starting from a DFT-relaxed cell (GGA-PBE, the Materials Project), the powder X-ray diffraction pattern of Co4W was computed for λ = 1.5418 Å (Cu Kα).

Largest 8 diffraction maxima, by angle, 2θ = 10–90°:
two_theta	d_spacing	I_rel
17.16	5.166	22
25.87	3.444	12
42.37	2.133	100
43.81	2.067	29
49.76	1.833	60
71.99	1.312	20
74.04	1.280	16
88.23	1.108	22

Structural model:
```
Co4W
1.0
1.312 0.757 10.333
-1.312 0.757 10.333
0.000 -1.515 10.333
Co W
4 1
direct
0.095 0.095 0.095
0.301 0.301 0.301
0.699 0.699 0.699
0.905 0.905 0.905
0.500 0.500 0.500
```

Entry 8:
Starting from a DFT-relaxed cell (GGA-PBE, the Materials Project), the powder X-ray diffraction pattern of YCo3 was computed for λ = 1.5418 Å (Cu Kα).

Largest 8 diffraction maxima, by angle, 2θ = 10–90°:
two_theta	d_spacing	I_rel
33.02	2.712	24
36.01	2.494	60
41.94	2.154	31
42.49	2.128	100
44.60	2.032	16
45.91	1.977	22
69.14	1.359	20
76.26	1.249	20

Structural model:
```
YCo3
1.0
2.497 1.442 8.126
-2.497 1.442 8.126
0.000 -2.883 8.126
Y Co
3 9
direct
0.000 0.000 0.000
0.140 0.140 0.140
0.860 0.860 0.860
0.079 0.582 0.582
0.335 0.335 0.335
0.418 0.418 0.921
0.418 0.921 0.418
0.500 0.500 0.500
0.582 0.079 0.582
0.582 0.582 0.079
0.665 0.665 0.665
0.921 0.418 0.418
```